# Ba3As14
Computed X-ray powder pattern, Cu Ka. Input: a GGA-PBE-relaxed structure.
Lines closer than 0.1° are merged.

Principal peaks in the range 2θ = 15–90°, sorted by position:
2θ/deg  d (Å)  I/Imax  (hkl)
15.32  5.783  20  0 2 1
18.05  4.914  17  1 2 -1
26.52  3.361  39  0 1 3
28.80  3.100  100  1 3 1
29.57  3.021  35  1 1 -4
29.97  2.982  45  1 4 -2
30.08  2.970  28  2 2 -3
31.64  2.828  36  2 1 0
33.56  2.671  18  1 4 1
37.59  2.393  16  2 4 -1

Crystal structure
```
data_Ba3As14
_symmetry_space_group_name_H-M 'P 1 21/c 1'
_symmetry_Int_Tables_number 14
_symmetry_space_group_name_Hall '-P 2ybc'
_cell_length_a 6.928
_cell_length_b 13.944
_cell_length_c 12.471
_cell_angle_alpha 90.00
_cell_angle_beta 123.59
_cell_angle_gamma 90.00
loop_
_atom_site_label
_atom_site_fract_x
_atom_site_fract_y
_atom_site_fract_z
Ba1 0.000 0.000 0.000
Ba2 0.197 0.158 0.383
As1 0.037 0.146 0.643
As2 0.253 0.220 0.134
As3 0.287 0.000 0.686
As4 0.315 0.080 0.873
As5 0.348 0.719 0.724
As6 0.352 0.686 0.531
As7 0.391 0.560 0.822
```

# ThMgB4
Computed X-ray powder pattern, Cu Ka. Input: a GGA-PBE-relaxed structure.
Lines closer than 0.1° are merged.

Principal peaks in the range 2θ = 15–90°, sorted by position:
2θ/deg  d (Å)  I/Imax  (hkl)
16.23  5.461  35  1 1 0
20.77  4.276  60  1 2 0
23.31  3.815  63  0 0 1
26.74  3.334  41  1 3 0
30.03  2.976  77  2 1 0
31.42  2.847  50  1 2 1
35.76  2.511  46  1 3 1
38.36  2.346  100  2 1 1
54.35  1.688  29  2 5 1
57.37  1.606  26  2 1 2

Crystal structure
```
data_ThMgB4
_symmetry_space_group_name_H-M 'P b a m'
_symmetry_Int_Tables_number 55
_symmetry_space_group_name_Hall '-P 2 2ab'
_cell_length_a 6.145
_cell_length_b 11.908
_cell_length_c 3.815
_cell_angle_alpha 90.00
_cell_angle_beta 90.00
_cell_angle_gamma 90.00
loop_
_atom_site_label
_atom_site_fract_x
_atom_site_fract_y
_atom_site_fract_z
Th1 0.125 0.151 0.000
Mg1 0.135 0.411 0.000
B1 0.031 0.692 0.500
B2 0.114 0.546 0.500
B3 0.134 0.969 0.500
B4 0.212 0.812 0.500
```